Diffraction record for Ca3Cu2H9. The PXRD pattern is simulated, not measured: it uses a DFT-relaxed cell (PBE, Alexandria) and a wavelength of 1.5418 Å.
Kinematic intensities with the Lorentz-polarization factor, no thermal factor.

Principal peaks in the range 2θ = 15–90°, most intense first:
- 35.98°, rel. 100
- 29.81°, rel. 55
- 48.59°, rel. 36
- 20.54°, rel. 35
- 31.06°, rel. 27
- 43.16°, rel. 21
- 73.74°, rel. 19
- 47.40°, rel. 17
- 61.92°, rel. 17
- 37.53°, rel. 17
- 64.68°, rel. 16
- 18.51°, rel. 16

Atomic structure:
```
28
Lattice="4.3233 2.4961 4.1586 -4.3233 2.4961 4.1586 0.0000 -4.9921 4.1586" Properties=species:S:1:pos:R:3 pbc="T T T"
Ca -2.8887 -0.0112 5.1982
Ca -1.4346 -2.5073 7.2775
Ca 1.4541 -2.4961 5.1982
Ca -1.4540 2.4961 7.2775
Ca 1.4346 2.5073 5.1982
Ca 2.8887 0.0112 7.2775
Cu 0.0000 0.0000 1.8756
Cu 0.0000 0.0000 4.3623
Cu 0.0000 0.0000 8.1134
Cu 0.0000 0.0000 10.6001
H -3.5844 -1.1755 7.2038
H -0.7742 -3.6919 5.2719
H -1.3980 0.0000 3.1189
H -0.7742 -1.3002 5.1245
H 0.6990 -1.2107 3.1189
H -2.8102 2.5164 5.2719
H 0.6990 1.2107 3.1189
H -0.7389 1.3206 5.1245
H -1.5131 0.0204 7.3511
H 1.5131 -0.0204 5.1245
H 0.7389 -1.3206 7.3511
H -0.6990 -1.2107 9.3567
H 2.8102 -2.5164 7.2038
H -0.6990 1.2107 9.3567
H 0.7742 1.3002 7.3511
H 1.3980 0.0000 9.3567
H 0.7742 3.6919 7.2038
H 3.5844 1.1755 5.2719
```

---

Diffraction record for Th2Ga8Ni. The PXRD pattern is simulated, not measured: it uses a DFT-relaxed cell (PBE, Alexandria) and a wavelength of 1.5418 Å.
Kinematic intensities with the Lorentz-polarization factor, no thermal factor.

Principal peaks in the range 2θ = 15–90°, most intense first:
- 37.43°, rel. 100
- 32.86°, rel. 65
- 41.11°, rel. 61
- 20.22°, rel. 41
- 58.41°, rel. 32
- 72.49°, rel. 28
- 39.61°, rel. 25
- 31.16°, rel. 24
- 59.55°, rel. 20
- 73.91°, rel. 16
- 69.71°, rel. 15
- 52.50°, rel. 14

Atomic structure:
```
11
Lattice="4.3909 0.0000 0.0000 0.0000 4.3909 0.0000 0.0000 0.0000 11.3765" Properties=species:S:1:pos:R:3 pbc="T T T"
Th 0.0000 0.0000 2.2288
Th 0.0000 0.0000 9.1477
Ga 0.0000 2.1955 0.0000
Ga 0.0000 2.1955 4.3840
Ga 0.0000 2.1955 6.9926
Ga 2.1955 0.0000 0.0000
Ga 2.1955 0.0000 4.3840
Ga 2.1955 0.0000 6.9926
Ga 2.1955 2.1955 2.3104
Ga 2.1955 2.1955 9.0661
Ni 0.0000 0.0000 5.6883
```

---

Diffraction record for La2Ho3Er9. The PXRD pattern is simulated, not measured: it uses a DFT-relaxed cell (PBE, Alexandria) and a wavelength of 1.5418 Å.
Kinematic intensities with the Lorentz-polarization factor, no thermal factor.

Principal peaks in the range 2θ = 15–90°, most intense first:
- 31.00°, rel. 100
- 30.84°, rel. 59
- 34.56°, rel. 38
- 33.04°, rel. 34
- 30.51°, rel. 31
- 52.57°, rel. 24
- 33.93°, rel. 23
- 29.61°, rel. 16
- 34.30°, rel. 15
- 36.53°, rel. 14
- 26.92°, rel. 12
- 43.20°, rel. 11

Atomic structure:
```
14
Lattice="5.3420 0.0000 0.0000 -1.1611 8.2373 0.0000 -1.9390 -1.6707 10.3866" Properties=species:S:1:pos:R:3 pbc="T T T"
La -0.9310 3.5323 2.4889
La 3.1729 3.0343 7.8976
Ho 0.3627 0.2080 3.4922
Ho 2.0905 4.1187 0.0000
Ho 1.8792 6.3586 6.8943
Er -0.9652 6.6126 0.6993
Er -0.9566 5.6408 5.3142
Er 0.4934 0.4154 7.2622
Er -0.4507 5.7148 8.9715
Er 1.1209 3.2833 5.1933
Er 2.6926 0.8518 1.4150
Er 1.7485 6.1512 3.1243
Er 3.1985 0.9258 5.0723
Er 3.2071 -0.0460 9.6872
```

---

Diffraction record for NaAg5. The PXRD pattern is simulated, not measured: it uses a DFT-relaxed cell (PBE, Alexandria) and a wavelength of 1.5418 Å.
Kinematic intensities with the Lorentz-polarization factor, no thermal factor.

Principal peaks in the range 2θ = 15–90°, most intense first:
- 36.98°, rel. 100
- 43.22°, rel. 42
- 37.07°, rel. 33
- 75.12°, rel. 23
- 42.52°, rel. 22
- 62.16°, rel. 13
- 62.30°, rel. 13
- 62.77°, rel. 13
- 74.13°, rel. 12
- 78.72°, rel. 10
- 20.82°, rel. 8
- 75.25°, rel. 8

Atomic structure:
```
12
Lattice="5.1737 0.0000 0.0000 0.0000 8.8876 0.0000 -1.8037 0.0000 4.8636" Properties=species:S:1:pos:R:3 pbc="T T T"
Na 4.7211 2.2219 1.2141
Na -1.3511 6.6657 3.6496
Ag 3.8198 0.7499 3.6469
Ag 3.8198 3.6939 3.6469
Ag -0.4498 5.1937 1.2167
Ag -0.4498 8.1377 1.2167
Ag 1.2317 2.2219 3.6463
Ag 2.1351 0.6913 1.2153
Ag 2.1351 3.7525 1.2153
Ag 1.2349 5.1351 3.6484
Ag 1.2349 8.1963 3.6484
Ag 2.1383 6.6657 1.2173
```

---

Diffraction record for AcPtCl. The PXRD pattern is simulated, not measured: it uses a DFT-relaxed cell (PBE, Alexandria) and a wavelength of 1.5418 Å.
Kinematic intensities with the Lorentz-polarization factor, no thermal factor.

Principal peaks in the range 2θ = 15–90°, most intense first:
- 30.40°, rel. 100
- 39.95°, rel. 55
- 40.92°, rel. 29
- 36.84°, rel. 28
- 51.02°, rel. 24
- 66.69°, rel. 21
- 46.90°, rel. 20
- 32.41°, rel. 20
- 25.49°, rel. 17
- 70.55°, rel. 16
- 60.50°, rel. 15
- 22.93°, rel. 12

Atomic structure:
```
6
Lattice="2.2566 1.3029 10.4099 -2.2566 1.3029 10.4099 0.0000 -2.6057 10.4099" Properties=species:S:1:pos:R:3 pbc="T T T"
Ac 0.0000 0.0000 2.0455
Ac 0.0000 0.0000 29.1842
Pt 0.0000 0.0000 10.8101
Pt 0.0000 0.0000 20.4196
Cl 0.0000 0.0000 6.6782
Cl 0.0000 0.0000 24.5515
```

---

Diffraction record for Cd3Ag2Pd8. The PXRD pattern is simulated, not measured: it uses a DFT-relaxed cell (PBE, Alexandria) and a wavelength of 1.5418 Å.
Kinematic intensities with the Lorentz-polarization factor, no thermal factor.

Principal peaks in the range 2θ = 15–90°, most intense first:
- 38.19°, rel. 100
- 40.39°, rel. 75
- 34.40°, rel. 45
- 64.14°, rel. 41
- 38.85°, rel. 40
- 41.73°, rel. 33
- 72.51°, rel. 31
- 42.72°, rel. 27
- 43.59°, rel. 24
- 43.87°, rel. 22
- 85.04°, rel. 19
- 81.72°, rel. 18

Atomic structure:
```
13
Lattice="2.6071 1.5052 10.1311 -2.6071 1.5052 10.1311 0.0000 -3.0104 10.1311" Properties=species:S:1:pos:R:3 pbc="T T T"
Cd 0.0000 0.0000 0.0000
Cd 0.0000 0.0000 5.5403
Cd 0.0000 0.0000 24.8529
Ag 0.0000 0.0000 10.9042
Ag 0.0000 0.0000 19.4890
Pd -1.3070 -0.7546 17.1579
Pd 0.0000 -1.5092 13.2353
Pd -1.3070 0.7546 13.2353
Pd 0.0000 0.0000 8.2559
Pd 0.0000 0.0000 22.1373
Pd 1.3070 -0.7546 17.1579
Pd 0.0000 1.5092 17.1579
Pd 1.3070 0.7546 13.2353
```

---

Diffraction record for Tm3Mg3Pb4. The PXRD pattern is simulated, not measured: it uses a DFT-relaxed cell (PBE, Alexandria) and a wavelength of 1.5418 Å.
Kinematic intensities with the Lorentz-polarization factor, no thermal factor.

Principal peaks in the range 2θ = 15–90°, most intense first:
- 32.53°, rel. 100
- 32.75°, rel. 85
- 16.36°, rel. 32
- 39.85°, rel. 25
- 36.99°, rel. 20
- 36.69°, rel. 19
- 23.06°, rel. 16
- 69.05°, rel. 16
- 47.12°, rel. 15
- 68.40°, rel. 15
- 63.37°, rel. 14
- 55.49°, rel. 13

Atomic structure:
```
10
Lattice="4.5248 0.0000 0.0000 0.0000 5.4913 5.4197 0.0000 -5.4913 5.4197" Properties=species:S:1:pos:R:3 pbc="T T T"
Tm 0.0000 0.0000 0.0000
Tm 0.0000 -1.8588 7.1648
Tm 0.0000 1.8588 7.1648
Mg 0.0000 0.0000 3.5768
Mg 2.2624 -2.7870 4.4751
Mg 2.2624 2.7870 4.4751
Pb 2.2624 -1.5273 1.7731
Pb 2.2624 1.5273 1.7731
Pb 2.2624 0.0000 5.6108
Pb 2.2624 0.0000 8.6802
```

---

Diffraction record for CsAsSe2. The PXRD pattern is simulated, not measured: it uses a DFT-relaxed cell (PBE, Alexandria) and a wavelength of 1.5418 Å.
Kinematic intensities with the Lorentz-polarization factor, no thermal factor.

Principal peaks in the range 2θ = 15–90°, most intense first:
- 22.77°, rel. 100
- 27.09°, rel. 55
- 32.26°, rel. 51
- 32.59°, rel. 50
- 30.14°, rel. 45
- 28.15°, rel. 39
- 23.93°, rel. 37
- 46.51°, rel. 29
- 50.34°, rel. 26
- 42.87°, rel. 24
- 53.38°, rel. 24
- 34.41°, rel. 21

Atomic structure:
```
8
Lattice="5.4954 0.0000 0.0000 -0.0017 5.5764 0.0000 -0.0039 -0.9573 9.8754" Properties=species:S:1:pos:R:3 pbc="T T T"
Cs 0.0000 0.0000 0.0000
Cs 2.7362 2.7420 3.7751
As 0.1272 -0.1432 6.0233
As 2.8760 1.9166 7.6286
Se 0.4616 2.1970 6.8259
Se 2.7354 2.7418 0.0857
Se 3.2092 -0.4247 6.8292
Se 5.4737 -0.0072 3.6913
```

---

Diffraction record for K3Zn2CdF9. The PXRD pattern is simulated, not measured: it uses a DFT-relaxed cell (PBE, Alexandria) and a wavelength of 1.5418 Å.
Kinematic intensities with the Lorentz-polarization factor, no thermal factor.

Principal peaks in the range 2θ = 15–90°, most intense first:
- 42.68°, rel. 100
- 29.76°, rel. 95
- 29.88°, rel. 94
- 20.97°, rel. 87
- 53.00°, rel. 53
- 62.08°, rel. 28
- 61.81°, rel. 28
- 48.09°, rel. 20
- 52.74°, rel. 18
- 47.93°, rel. 18
- 85.99°, rel. 18
- 70.15°, rel. 15

Atomic structure:
```
15
Lattice="5.9802 0.0000 0.0000 -2.9901 5.1790 0.0000 0.0000 0.0000 7.3685" Properties=species:S:1:pos:R:3 pbc="T T T"
K 0.0000 0.0000 0.0000
K 0.0000 3.4527 4.9635
K 2.9901 1.7263 2.4050
Zn 0.0000 3.4527 1.1565
Zn 2.9901 1.7263 6.2120
Cd 0.0000 0.0000 3.6843
F -1.4951 2.5895 0.0000
F 0.0000 1.7957 2.3599
F -1.4350 4.2812 2.3599
F 1.5551 0.8978 5.0086
F 2.9901 0.0000 0.0000
F 1.4951 2.5895 0.0000
F 1.4350 4.2812 2.3599
F 4.4251 0.8978 5.0086
F 2.9901 3.3834 5.0086
```

---

Diffraction record for CsHfBr6. The PXRD pattern is simulated, not measured: it uses a DFT-relaxed cell (PBE, Alexandria) and a wavelength of 1.5418 Å.
Kinematic intensities with the Lorentz-polarization factor, no thermal factor.

Principal peaks in the range 2θ = 15–90°, most intense first:
- 32.24°, rel. 100
- 16.98°, rel. 99
- 31.64°, rel. 95
- 32.08°, rel. 92
- 45.72°, rel. 87
- 20.41°, rel. 68
- 27.02°, rel. 45
- 17.39°, rel. 43
- 52.59°, rel. 39
- 44.59°, rel. 38
- 34.35°, rel. 31
- 21.79°, rel. 30

Atomic structure:
```
16
Lattice="8.8601 0.0000 0.0000 0.0000 10.1993 0.0000 -1.6508 0.0000 6.7962" Properties=species:S:1:pos:R:3 pbc="T T T"
Cs 0.0000 0.0000 0.0000
Cs 4.4300 5.0997 0.0000
Hf -0.8254 5.0997 3.3981
Hf 3.6046 0.0000 3.3981
Br -0.3393 3.2725 5.1982
Br -0.3393 6.9268 5.1982
Br 1.0641 0.0000 4.0264
Br 1.7152 5.0997 2.7698
Br 3.1185 1.8271 1.5979
Br 3.1185 8.3722 1.5979
Br 4.0908 1.8271 5.1982
Br 4.0908 8.3722 5.1982
Br 5.4941 5.0997 4.0264
Br 6.1452 0.0000 2.7698
Br 7.5486 3.2725 1.5979
Br 7.5486 6.9268 1.5979
```

---

Diffraction record for Pu6RuRh3. The PXRD pattern is simulated, not measured: it uses a DFT-relaxed cell (PBE, Alexandria) and a wavelength of 1.5418 Å.
Kinematic intensities with the Lorentz-polarization factor, no thermal factor.

Principal peaks in the range 2θ = 15–90°, most intense first:
- 36.65°, rel. 100
- 40.35°, rel. 38
- 19.12°, rel. 32
- 37.92°, rel. 25
- 42.64°, rel. 25
- 50.44°, rel. 20
- 51.72°, rel. 20
- 35.91°, rel. 20
- 43.46°, rel. 19
- 34.21°, rel. 17
- 78.92°, rel. 16
- 56.94°, rel. 15

Atomic structure:
```
20
Lattice="5.7746 0.0000 0.0000 -2.8873 5.0009 0.0000 0.0000 0.0000 12.4943" Properties=species:S:1:pos:R:3 pbc="T T T"
Pu -0.2780 1.8358 4.2545
Pu -1.4364 3.8423 1.9927
Pu 0.2780 1.8358 1.9927
Pu -1.1584 4.3238 4.2545
Pu 1.7288 0.6772 8.2398
Pu 1.4509 1.1586 10.5017
Pu 1.4364 3.8423 4.2545
Pu 1.1584 4.3238 1.9927
Pu 4.0457 0.6772 10.5017
Pu 2.6093 3.1651 8.2398
Pu 4.3237 1.1586 8.2398
Pu 3.1653 3.1651 10.5017
Ru 0.0000 3.3340 9.3707
Ru 2.8873 1.6670 3.1236
Rh 0.0000 0.0000 0.0000
Rh 0.0000 0.0000 6.2472
Rh 0.0000 3.3340 6.7542
Rh 0.0000 3.3340 11.9873
Rh 2.8873 1.6670 0.5070
Rh 2.8873 1.6670 5.7401
```

---

Diffraction record for ZrTlTe2O8. The PXRD pattern is simulated, not measured: it uses a DFT-relaxed cell (PBE, Alexandria) and a wavelength of 1.5418 Å.
Kinematic intensities with the Lorentz-polarization factor, no thermal factor.

Principal peaks in the range 2θ = 15–90°, most intense first:
- 27.14°, rel. 100
- 28.60°, rel. 85
- 30.14°, rel. 40
- 46.36°, rel. 23
- 44.73°, rel. 23
- 34.38°, rel. 22
- 16.95°, rel. 21
- 43.52°, rel. 19
- 32.26°, rel. 16
- 52.58°, rel. 16
- 51.72°, rel. 16
- 56.46°, rel. 14

Atomic structure:
```
12
Lattice="5.9737 -2.9654 0.0000 5.9737 2.9654 0.0000 -1.9362 0.0000 4.8596" Properties=species:S:1:pos:R:3 pbc="T T T"
Zr 0.0000 0.0000 0.0000
Tl 5.0056 0.0000 2.4298
Te 1.8260 0.0000 3.7181
Te 8.1852 0.0000 1.1414
O -0.2210 0.0000 3.7978
O 3.2790 1.3897 3.5561
O 3.6138 0.0000 0.7682
O 6.7322 1.3897 1.3035
O 3.2790 -1.3897 3.5561
O 6.3974 0.0000 4.0914
O 6.7322 -1.3897 1.3035
O 10.2322 0.0000 1.0618
```